Pm4B3Pt12Au: simulated powder XRD pattern (a wavelength of 1.5418 Å), based on the PBE geometry in Alexandria.
Kinematic intensities with the Lorentz-polarization factor, no thermal factor.

Crystal structure
```
Pm4B3Pt12Au
1.0
-4.5238 4.5238 4.5238
4.5238 -4.5238 4.5238
4.5238 4.5238 -4.5238
Pm B Pt Au
4 3 12 1
Direct
0.0000 0.0000 0.5000
0.0000 0.5000 0.0000
0.5000 0.0000 0.0000
0.5000 0.5000 0.5000
0.0000 0.5000 0.5000
0.5000 0.0000 0.5000
0.5000 0.5000 0.0000
0.0000 0.2840 0.2840
0.0000 0.7160 0.7160
0.2500 0.5000 0.7500
0.2500 0.7500 0.5000
0.2840 0.0000 0.2840
0.2840 0.2840 0.0000
0.5000 0.2500 0.7500
0.5000 0.7500 0.2500
0.7160 0.0000 0.7160
0.7160 0.7160 0.0000
0.7500 0.2500 0.5000
0.7500 0.5000 0.2500
0.0000 0.0000 0.0000
```

Principal peaks in the range 2θ = 10–90°, in order of falling intensity:
| two_theta | d/Å | I (rel.) |
| --- | --- | --- |
| 34.34 | 2.612 | 100 |
| 39.86 | 2.262 | 68 |
| 57.63 | 1.599 | 43 |
| 68.83 | 1.364 | 34 |
| 72.36 | 1.306 | 13 |
| 37.18 | 2.418 | 10 |
| 47.11 | 1.929 | 9 |
| 19.62 | 4.524 | 9 |
| 77.53 | 1.231 | 7 |
| 31.26 | 2.861 | 7 |
| 85.95 | 1.131 | 6 |
| 42.39 | 2.133 | 6 |